Computed powder diffractogram of Mn7GaFeN2 for CuKα, from the GGA-PBE geometry in Alexandria.
No peak broadening, texture or thermal motion is included.

Structural model:
abc: 3.696 3.696 9.681
angles: 90.00 90.00 90.00
Space group P4/mmm (No. 123)
Unique sites:
Mn: 0.000 0.000 0.000 (multiplicity 1)
Mn: 0.000 0.000 0.399 (multiplicity 2)
Mn: 0.000 0.500 0.225 (multiplicity 4)
Ga: 0.500 0.500 0.000 (multiplicity 1)
Fe: 0.500 0.500 0.500 (multiplicity 1)
N: 0.000 0.000 0.197 (multiplicity 2)

Largest 10 diffraction maxima, by angle, 10° ≤ 2θ ≤ 90°:
2θ 37.1, I 13.8, hkl 0 0 4
2θ 39.2, I 100.0, hkl 1 1 2
2θ 44.6, I 13.9, hkl 1 1 3
2θ 44.8, I 10.4, hkl 1 0 4
2θ 46.9, I 11.1, hkl 0 0 5
2θ 49.3, I 42.9, hkl 2 0 0
2θ 63.3, I 10.2, hkl 2 0 4
2θ 70.4, I 11.7, hkl 2 0 5
2θ 72.3, I 12.2, hkl 2 2 0
2θ 85.5, I 18.0, hkl 3 1 2

=====

Computed powder diffractogram of HoIn7 for CuKα, from the GGA-PBE geometry in Alexandria.
No peak broadening, texture or thermal motion is included.

Structural model:
abc: 9.425 9.425 9.425
angles: 90.00 90.00 90.00
Space group Fm-3m (No. 225)
Unique sites:
Ho: 0.000 0.000 0.000 (multiplicity 4)
In: 0.000 0.000 0.500 (multiplicity 4)
In: 0.000 0.250 0.250 (multiplicity 24)

Largest 10 diffraction maxima, by angle, 10° ≤ 2θ ≤ 90°:
2θ 16.3, I 1.1, hkl 1 1 1
2θ 18.8, I 0.6, hkl 2 0 0
2θ 26.8, I 0.5, hkl 2 2 0
2θ 31.5, I 0.7, hkl 3 1 1
2θ 32.9, I 100.0, hkl 2 2 2
2θ 38.2, I 49.9, hkl 4 0 0
2θ 55.1, I 33.5, hkl 4 4 0
2θ 65.7, I 38.8, hkl 6 2 2
2θ 69.0, I 11.2, hkl 4 4 4
2θ 81.7, I 5.3, hkl 8 0 0

=====

Computed powder diffractogram of Ba2Ag4Sn5 for CuKα, from the GGA-PBE geometry in Alexandria.
No peak broadening, texture or thermal motion is included.

Structural model:
abc: 6.534 9.437 9.785
angles: 90.00 90.00 90.00
Space group Immm (No. 71)
Unique sites:
Ba: 0.000 0.223 0.000 (multiplicity 4)
Ag: 0.000 0.242 0.349 (multiplicity 8)
Sn: 0.000 0.500 0.500 (multiplicity 2)
Sn: 0.244 0.500 0.208 (multiplicity 8)

Largest 10 diffraction maxima, by angle, 10° ≤ 2θ ≤ 90°:
2θ 26.2, I 26.3, hkl 0 2 2
2θ 29.0, I 36.4, hkl 0 1 3
2θ 30.6, I 35.4, hkl 1 0 3
2θ 33.0, I 39.6, hkl 2 0 2
2θ 33.4, I 100.0, hkl 2 2 0
2θ 36.2, I 93.7, hkl 1 2 3
2θ 38.2, I 72.4, hkl 0 4 0
2θ 54.2, I 25.1, hkl 3 2 3
2θ 56.3, I 29.0, hkl 4 0 0
2θ 70.1, I 21.0, hkl 4 4 0

=====

Computed powder diffractogram of K2CuBrCl3 for CuKα, from the GGA-PBE geometry in Alexandria.
No peak broadening, texture or thermal motion is included.

Structural model:
abc: 4.996 5.137 15.436
angles: 90.00 90.00 90.00
Space group Immm (No. 71)
Unique sites:
K: 0.000 0.000 0.141 (multiplicity 4)
Cu: 0.000 0.000 0.500 (multiplicity 2)
Br: 0.000 0.500 0.500 (multiplicity 2)
Cl: 0.000 0.000 0.345 (multiplicity 4)
Cl: 0.000 0.500 0.000 (multiplicity 2)

Largest 10 diffraction maxima, by angle, 10° ≤ 2θ ≤ 90°:
2θ 11.5, I 100.0, hkl 0 0 2
2θ 18.7, I 34.3, hkl 1 0 1
2θ 24.9, I 40.8, hkl 1 0 3
2θ 27.5, I 22.5, hkl 1 1 2
2θ 34.2, I 58.8, hkl 1 1 4
2θ 34.9, I 68.0, hkl 0 2 0
2θ 36.0, I 35.1, hkl 2 0 0
2θ 50.2, I 20.5, hkl 0 2 6
2θ 51.0, I 41.9, hkl 2 2 0
2θ 63.3, I 18.2, hkl 2 2 6

=====

Computed powder diffractogram of La6Pt7 for CuKα, from the GGA-PBE geometry in Alexandria.
No peak broadening, texture or thermal motion is included.

Structural model:
abc: 5.7032 5.7032 31.3324
angles: 90.00 90.00 120.00
Space group R-3m (No. 166, hexagonal axes)
Unique sites:
La: 0.0000 0.0000 0.0558 (multiplicity 6)
La: 0.0000 0.0000 0.1590 (multiplicity 6)
La: 0.0000 0.0000 0.3318 (multiplicity 6)
Pt: 0.0000 0.0000 0.5000 (multiplicity 3)
Pt: 0.0047 0.5023 0.0924 (multiplicity 18)

Largest 10 diffraction maxima, by angle, 10° ≤ 2θ ≤ 90°:
2θ 31.4, I 30.3, hkl 1 1 0
2θ 33.9, I 33.9, hkl 1 0 10
2θ 34.3, I 42.1, hkl 0 0 12
2θ 35.9, I 95.7, hkl 1 1 6
2θ 36.5, I 100.0, hkl 0 2 1
2θ 38.2, I 32.7, hkl 0 2 4
2θ 39.2, I 85.3, hkl 2 0 5
2θ 40.9, I 29.2, hkl 1 1 9
2θ 41.8, I 37.7, hkl 0 2 7
2θ 65.5, I 43.5, hkl 2 2 0

=====

Computed powder diffractogram of CaNpZn2O8 for CuKα, from the GGA-PBE geometry in Alexandria.
No peak broadening, texture or thermal motion is included.

Structural model:
abc: 6.760 6.760 7.185
angles: 90.00 90.00 90.00
Space group I-4m2 (No. 119)
Unique sites:
Ca: 0.000 0.000 0.000 (multiplicity 2)
Np: 0.000 0.500 0.250 (multiplicity 2)
Zn: 0.000 0.000 0.500 (multiplicity 2)
Zn: 0.000 0.500 0.750 (multiplicity 2)
O: 0.000 0.206 0.301 (multiplicity 8)
O: 0.000 0.339 0.966 (multiplicity 8)

Largest 10 diffraction maxima, by angle, 10° ≤ 2θ ≤ 90°:
2θ 18.0, I 74.0, hkl 1 0 1
2θ 18.6, I 48.3, hkl 1 1 0
2θ 26.4, I 100.0, hkl 2 0 0
2θ 31.1, I 90.6, hkl 1 1 2
2θ 32.1, I 21.9, hkl 2 1 1
2θ 37.6, I 22.2, hkl 2 2 0
2θ 49.6, I 70.2, hkl 3 1 2
2θ 54.3, I 15.1, hkl 4 0 0
2θ 58.2, I 20.5, hkl 2 0 4
2θ 63.9, I 20.4, hkl 3 3 2

=====

Computed powder diffractogram of Ba3NaIn3 for CuKα, from the GGA-PBE geometry in Alexandria.
No peak broadening, texture or thermal motion is included.

Structural model:
abc: 12.202 5.528 17.686
angles: 90.00 109.47 90.00
Space group C2/m (No. 12)
Unique sites:
Ba: 0.017 0.000 0.277 (multiplicity 4)
Ba: 0.157 0.500 0.127 (multiplicity 4)
Ba: 0.183 0.000 0.571 (multiplicity 4)
Na: 0.173 0.500 0.910 (multiplicity 4)
In: 0.016 0.500 0.421 (multiplicity 4)
In: 0.064 0.000 0.945 (multiplicity 4)
In: 0.189 0.500 0.726 (multiplicity 4)

Largest 10 diffraction maxima, by angle, 10° ≤ 2θ ≤ 90°:
2θ 25.7, I 100.0, hkl 1 1 3
2θ 25.8, I 58.3, hkl 1 1 -4
2θ 27.4, I 85.8, hkl 3 1 -2
2θ 29.3, I 25.3, hkl 4 0 -2
2θ 30.3, I 40.8, hkl 3 1 1
2θ 32.2, I 23.0, hkl 0 0 6
2θ 32.4, I 67.2, hkl 0 2 0
2θ 33.3, I 70.9, hkl 3 1 -5
2θ 53.9, I 19.5, hkl 1 3 3
2θ 55.3, I 24.4, hkl 7 1 -4

=====

Computed powder diffractogram of Pr8NiIr3Cl4 for CuKα, from the GGA-PBE geometry in Alexandria.
No peak broadening, texture or thermal motion is included.

Structural model:
abc: 14.354 8.289 8.965
angles: 90.00 122.33 90.00
Space group C2/m (No. 12)
Unique sites:
Pr: 0.015 0.248 0.297 (multiplicity 8)
Pr: 0.234 0.000 0.703 (multiplicity 4)
Pr: 0.236 0.500 0.706 (multiplicity 4)
Ni: 0.000 0.000 0.500 (multiplicity 2)
Ir: 0.000 0.500 0.500 (multiplicity 2)
Ir: 0.250 0.250 0.500 (multiplicity 4)
Cl: 0.000 0.000 0.000 (multiplicity 2)
Cl: 0.000 0.500 0.000 (multiplicity 2)
Cl: 0.250 0.250 0.000 (multiplicity 4)

Largest 10 diffraction maxima, by angle, 10° ≤ 2θ ≤ 90°:
2θ 11.7, I 53.6, hkl 0 0 1
2θ 29.4, I 100.0, hkl 4 0 0
2θ 37.4, I 22.9, hkl 2 2 -3
2θ 40.5, I 31.7, hkl 2 2 2
2θ 43.7, I 36.9, hkl 0 4 0
2θ 45.4, I 12.4, hkl 6 2 -3
2θ 51.0, I 15.5, hkl 4 0 -5
2θ 53.6, I 18.5, hkl 4 4 0
2θ 71.5, I 11.7, hkl 2 6 -2
2θ 78.1, I 12.4, hkl 6 2 -7

=====

Computed powder diffractogram of UCoTcNi for CuKα, from the GGA-PBE geometry in Alexandria.
No peak broadening, texture or thermal motion is included.

Structural model:
abc: 3.766 3.909 3.949
angles: 90.00 90.00 90.00
Space group Pmmm (No. 47)
Unique sites:
U: 0.000 0.000 0.000 (multiplicity 1)
Co: 0.500 0.000 0.500 (multiplicity 1)
Tc: 0.500 0.500 0.000 (multiplicity 1)
Ni: 0.000 0.500 0.500 (multiplicity 1)

Largest 10 diffraction maxima, by angle, 10° ≤ 2θ ≤ 90°:
2θ 22.5, I 21.1, hkl 0 0 1
2θ 33.0, I 16.6, hkl 1 1 0
2θ 40.3, I 100.0, hkl 1 1 1
2θ 46.0, I 17.2, hkl 0 0 2
2θ 46.5, I 16.6, hkl 0 2 0
2θ 48.3, I 14.8, hkl 2 0 0
2θ 81.2, I 13.0, hkl 1 1 3
2θ 82.0, I 12.8, hkl 1 3 1
2θ 84.7, I 11.8, hkl 3 1 1
2θ 87.2, I 11.2, hkl 2 2 2

=====

Computed powder diffractogram of Tb5Tm2Tl for CuKα, from the GGA-PBE geometry in Alexandria.
No peak broadening, texture or thermal motion is included.

Structural model:
abc: 7.056 7.056 9.745
angles: 90.00 90.00 90.00
Space group I4/mmm (No. 139)
Unique sites:
Tb: 0.000 0.000 0.000 (multiplicity 2)
Tb: 0.250 0.250 0.250 (multiplicity 8)
Tm: 0.000 0.500 0.000 (multiplicity 4)
Tl: 0.000 0.000 0.500 (multiplicity 2)

Largest 10 diffraction maxima, by angle, 10° ≤ 2θ ≤ 90°:
2θ 31.3, I 100.0, hkl 2 0 2
2θ 36.0, I 34.5, hkl 2 2 0
2θ 36.9, I 16.1, hkl 0 0 4
2θ 51.8, I 12.3, hkl 4 0 0
2θ 52.5, I 23.6, hkl 2 2 4
2θ 61.8, I 29.0, hkl 4 2 2
2θ 63.0, I 13.7, hkl 2 0 6
2θ 65.3, I 12.3, hkl 4 0 4
2θ 84.8, I 6.1, hkl 6 0 2
2θ 85.9, I 11.9, hkl 4 2 6

=====

Computed powder diffractogram of Pm3IrO7 for CuKα, from the GGA-PBE geometry in Alexandria.
No peak broadening, texture or thermal motion is included.

Structural model:
abc: 10.866 7.492 7.560
angles: 90.00 90.00 90.00
Space group Cmcm (No. 63)
Unique sites:
Pm: 0.000 0.000 0.000 (multiplicity 4)
Pm: 0.223 0.300 0.250 (multiplicity 8)
Ir: 0.000 0.500 0.000 (multiplicity 4)
O: 0.000 0.413 0.250 (multiplicity 4)
O: 0.127 0.312 0.537 (multiplicity 16)
O: 0.132 0.023 0.250 (multiplicity 8)

Largest 10 diffraction maxima, by angle, 10° ≤ 2θ ≤ 90°:
2θ 28.8, I 100.0, hkl 2 0 2
2θ 29.0, I 88.5, hkl 2 2 0
2θ 33.0, I 22.8, hkl 4 0 0
2θ 33.7, I 44.6, hkl 0 2 2
2θ 47.9, I 47.1, hkl 4 2 2
2θ 48.1, I 17.2, hkl 0 0 4
2θ 56.3, I 9.8, hkl 6 0 2
2θ 57.2, I 26.2, hkl 2 2 4
2θ 57.5, I 16.4, hkl 2 4 2
2θ 59.6, I 9.9, hkl 4 0 4

=====

Computed powder diffractogram of HoEr2In3S6 for CuKα, from the GGA-PBE geometry in Alexandria.
No peak broadening, texture or thermal motion is included.

Structural model:
abc: 6.863 11.888 7.856
angles: 90.00 106.94 90.00
Space group C2/m (No. 12)
Unique sites:
Ho: 0.000 0.000 0.000 (multiplicity 2)
Er: 0.000 0.333 0.000 (multiplicity 4)
In: 0.000 0.167 0.500 (multiplicity 4)
In: 0.000 0.500 0.500 (multiplicity 2)
S: 0.232 0.500 0.199 (multiplicity 4)
S: 0.234 0.167 0.200 (multiplicity 8)

Largest 10 diffraction maxima, by angle, 10° ≤ 2θ ≤ 90°:
2θ 23.7, I 27.0, hkl 0 0 2
2θ 27.2, I 52.3, hkl 2 0 0
2θ 30.5, I 100.0, hkl 1 3 1
2θ 41.5, I 38.6, hkl 2 0 2
2θ 45.8, I 32.7, hkl 0 6 0
2θ 48.3, I 14.8, hkl 1 3 3
2θ 52.2, I 20.1, hkl 3 3 1
2θ 56.0, I 17.1, hkl 4 0 0
2θ 68.9, I 14.5, hkl 3 3 3
2θ 75.2, I 14.3, hkl 4 6 0